Starting from a cell relaxed with PBE, the powder XRD pattern of Hf2AlSbPd2 was calculated for copper Kα.
No peak broadening, texture or thermal motion is included.

Cell and atoms:
Lattice parameters (Å, degrees): 6.2550 6.2550 12.5132 90.00 90.00 90.00
Space group I-42d (No. 122)
One atom of each set of equivalent atoms:
Hf  0.0000  0.0000  0.2454 [8 per cell]
Al  0.0000  0.0000  0.0000 [4 per cell]
Sb  0.0000  0.0000  0.5000 [4 per cell]
Pd  0.2421  0.7500  0.1250 [8 per cell]

Peak list (10 most intense, 5° ≤ 2θ ≤ 70°, by angle)
two_theta  d [Å]  I/Imax  (hkl)
15.84  5.595  4  1 0 1
24.65  3.612  43  1 1 2
25.67  3.470  4  1 0 3
28.54  3.128  20  2 0 0
40.80  2.212  100  2 2 0
48.25  1.886  21  3 1 2
50.54  1.806  6  2 2 4
59.07  1.564  17  4 0 0
64.98  1.435  9  3 3 2
66.89  1.399  7  4 2 0